No. 1
Structure and calculated powder diffractogram of CuNi2Pd9 (DFT lattice parameters and positions (GGA-PBE); Cu Kα).
No peak broadening, texture or thermal motion is included.

Peak list (9 most intense, 2θ = 10–80°, most intense first)
(hkl), d/Å, I (rel.)
1 1 3, 2.236, 100
2 0 0, 1.936, 48
2 2 0, 1.369, 30
1 0 0, 3.872, 4
1 1 0, 2.738, 3
1 0 6, 1.732, 2
2 1 3, 1.581, 1
2 1 6, 1.291, 1
1 0 9, 1.225, 1

Structure:
Cell: 3.8732 3.8732 11.6107 Å, 90.00 90.00 90.00°
Space group P4/mmm (No. 123)
Asymmetric unit:
1 Cu 0.0000 0.0000 0.0000
2 Ni 0.0000 0.0000 0.3352
3 Pd 0.0000 0.5000 0.1682
4 Pd 0.0000 0.5000 0.5000
5 Pd 0.5000 0.5000 0.0000
6 Pd 0.5000 0.5000 0.3340



No. 2
Structure and calculated powder diffractogram of Sm5HoIn4 (DFT lattice parameters and positions (GGA-PBE); Cu Kα).
No peak broadening, texture or thermal motion is included.

Peak list (10 most intense, 2θ = 10–80°, most intense first)
(hkl), d/Å, I (rel.)
1 0 5, 2.806, 100
1 1 0, 2.560, 42
2 1 5, 1.521, 31
1 1 10, 1.677, 17
2 0 0, 1.810, 15
0 0 10, 2.220, 11
2 0 10, 1.403, 9
1 0 15, 1.370, 6
2 2 0, 1.280, 5
1 0 4, 3.032, 3

Structure:
Cell: 3.6200 3.6200 22.1985 Å, 90.00 90.00 90.00°
Space group P4/mmm (No. 123)
Asymmetric unit:
1 Sm 0.0000 0.0000 0.0000
2 Sm 0.0000 0.0000 0.1935
3 Sm 0.0000 0.0000 0.3859
4 Ho 0.5000 0.5000 0.5000
5 In 0.5000 0.5000 0.0966
6 In 0.5000 0.5000 0.2902



No. 3
Structure and calculated powder diffractogram of Li7TmCd4 (DFT lattice parameters and positions (GGA-PBE); Cu Kα).
No peak broadening, texture or thermal motion is included.

Peak list (10 most intense, 2θ = 10–80°, most intense first)
(hkl), d/Å, I (rel.)
1 1 -2, 3.124, 100
5 1 -1, 2.379, 57
1 1 1, 3.543, 50
2 0 -1, 6.484, 44
0 2 0, 2.520, 38
3 1 -1, 3.399, 35
4 0 1, 2.313, 30
2 0 0, 5.881, 27
5 3 -1, 1.426, 26
4 0 -2, 3.242, 26

Structure:
Cell: 13.8200 5.0410 8.2392 Å, 90.00 121.68 90.00°
Space group C2/m (No. 12)
Asymmetric unit:
1 Li 0.0000 0.0000 0.0000
2 Li 0.0832 0.5000 0.4535
3 Li 0.2158 0.5000 0.8918
4 Li 0.2344 0.0000 0.6928
5 Tm 0.0000 0.5000 0.0000
6 Cd 0.0518 0.0000 0.7261
7 Cd 0.1788 0.0000 0.3311



No. 4
Structure and calculated powder diffractogram of Co3Mo3N (DFT lattice parameters and positions (GGA-PBE); Cu Kα).
No peak broadening, texture or thermal motion is included.

Peak list (10 most intense, 2θ = 10–80°, most intense first)
(hkl), d/Å, I (rel.)
3 3 3, 2.125, 100
4 4 0, 1.952, 47
4 2 2, 2.254, 42
6 6 0, 1.301, 34
3 3 1, 2.533, 15
7 3 3, 1.349, 10
4 0 0, 2.760, 10
5 5 5, 1.275, 9
7 3 1, 1.437, 9
4 4 2, 1.840, 8

Structure:
Cell: 11.0413 11.0413 11.0413 Å, 90.00 90.00 90.00°
Space group Fd-3m (No. 227, origin choice 2)
Asymmetric unit:
1 Co 0.0000 0.0000 0.0000
2 Co 0.0447 0.0447 0.2053
3 Mo 0.0771 0.3750 0.8750
4 N 0.0000 0.0000 0.5000



No. 5
Structure and calculated powder diffractogram of Al7Ga6 (DFT lattice parameters and positions (GGA-PBE); Cu Kα).
No peak broadening, texture or thermal motion is included.

Peak list (10 most intense, 2θ = 10–80°, most intense first)
(hkl), d/Å, I (rel.)
3 1 -1, 2.777, 100
1 1 3, 2.319, 73
3 1 -3, 2.402, 49
0 2 0, 2.732, 43
0 2 2, 2.333, 36
0 0 4, 2.242, 31
2 2 -1, 2.374, 25
1 1 -4, 2.193, 24
6 2 -2, 1.389, 22
4 2 2, 1.479, 18

Structure:
Cell: 9.6860 5.4647 9.6673 Å, 90.00 112.06 90.00°
Space group C2/m (No. 12)
Asymmetric unit:
1 Al 0.0000 0.0000 0.0000
2 Al 0.0987 0.0000 0.7682
3 Al 0.1624 0.2521 0.2518
4 Ga 0.0560 0.5000 0.6514
5 Ga 0.1461 0.5000 0.9707
6 Ga 0.1527 0.0000 0.4956



No. 6
Structure and calculated powder diffractogram of Co3CuSn2S8 (DFT lattice parameters and positions (GGA-PBE); Cu Kα).
No peak broadening, texture or thermal motion is included.

Peak list (10 most intense, 2θ = 10–80°, most intense first)
(hkl), d/Å, I (rel.)
1 2 1, 3.047, 100
2 2 4, 1.770, 94
2 2 0, 2.514, 63
1 0 3, 3.004, 55
2 1 1, 3.013, 54
1 0 1, 5.749, 40
0 0 4, 2.492, 30
4 0 0, 1.759, 25
2 3 1, 1.942, 24
0 4 0, 1.797, 24

Structure:
Cell: 7.0367 7.1861 9.9674 Å, 90.00 90.00 90.00°
Space group Imm2 (No. 44)
Asymmetric unit:
1 Co 0.0000 0.0000 0.0000
2 Co 0.2484 0.0000 0.6186
3 Cu 0.0000 0.5000 0.7343
4 Sn 0.0000 0.2484 0.3689
5 S 0.0000 0.2155 0.6223
6 S 0.0000 0.2817 0.1122
7 S 0.2405 0.0000 0.8503
8 S 0.2435 0.5000 0.8886



No. 7
Structure and calculated powder diffractogram of MnGa (DFT lattice parameters and positions (GGA-PBE); Cu Kα).
No peak broadening, texture or thermal motion is included.

Peak list (10 most intense, 2θ = 10–80°, most intense first)
(hkl), d/Å, I (rel.)
1 0 5, 2.000, 100
1 1 0, 1.935, 50
1 0 1, 2.690, 37
0 0 6, 2.442, 15
2 0 0, 1.368, 15
1 0 3, 2.388, 14
1 1 6, 1.517, 13
0 0 2, 7.327, 13
2 1 1, 1.220, 6
0 0 10, 1.465, 6

Structure:
Cell: 2.7370 2.7370 14.6542 Å, 90.00 90.00 90.00°
Space group I4/mmm (No. 139)
Asymmetric unit:
1 Mn 0.0000 0.0000 0.2070
2 Ga 0.0000 0.0000 0.4128



No. 8
Structure and calculated powder diffractogram of Sm7ZnI12 (DFT lattice parameters and positions (GGA-PBE); Cu Kα).
No peak broadening, texture or thermal motion is included.

Peak list (10 most intense, 2θ = 10–80°, most intense first)
(hkl), d/Å, I (rel.)
4 -1 2, 3.109, 100
5 2 0, 2.213, 37
1 3 4, 2.185, 36
2 6 2, 1.803, 19
1 1 0, 7.979, 16
5 2 6, 1.383, 15
9 1 2, 1.398, 15
8 -2 4, 1.555, 12
1 3 1, 3.606, 12
6 5 4, 1.272, 11

Structure:
Cell: 15.9577 15.9577 10.6347 Å, 90.00 90.00 120.00°
Space group R-3 (No. 148, hexagonal axes)
Asymmetric unit:
1 Sm 0.0000 0.0000 0.0000
2 Sm 0.0462 0.8825 0.3458
3 Zn 0.0000 0.0000 0.5000
4 I 0.0219 0.4348 0.1644
5 I 0.0520 0.8666 0.8403



No. 9
Structure and calculated powder diffractogram of Na2Np2PSe2 (DFT lattice parameters and positions (GGA-PBE); Cu Kα).
No peak broadening, texture or thermal motion is included.

Peak list (10 most intense, 2θ = 10–80°, most intense first)
(hkl), d/Å, I (rel.)
0 0 2, 7.425, 100
2 0 0, 2.628, 89
1 1 2, 3.324, 57
0 0 6, 2.478, 36
2 0 8, 1.517, 30
2 0 6, 1.803, 23
0 0 4, 3.715, 19
2 2 0, 1.858, 18
1 1 6, 2.060, 16
3 1 2, 1.622, 15

Structure:
Cell: 5.2577 5.2577 14.8509 Å, 90.00 90.00 90.00°
Space group I4/mmm (No. 139)
Asymmetric unit:
1 Na 0.0000 0.0000 0.1916
2 Np 0.0000 0.5000 0.0000
3 P 0.0000 0.0000 0.0000
4 Se 0.0000 0.0000 0.3827



No. 10
Structure and calculated powder diffractogram of CaHoO4 (DFT lattice parameters and positions (GGA-PBE); Cu Kα).
No peak broadening, texture or thermal motion is included.

Peak list (10 most intense, 2θ = 10–80°, most intense first)
(hkl), d/Å, I (rel.)
0 0 1, 6.600, 100
1 1 -1, 2.991, 94
2 0 1, 2.882, 60
1 1 0, 3.275, 44
0 0 2, 3.300, 34
2 0 0, 3.361, 34
1 1 2, 2.271, 33
3 1 0, 1.924, 27
1 1 -3, 1.868, 22
0 0 3, 2.200, 20

Structure:
Cell: 6.7546 3.7507 6.6312 Å, 90.00 95.59 90.00°
Space group Cm (No. 8)
Asymmetric unit:
1 Ca 0.0000 0.0000 0.0000
2 Ho 0.1331 0.5000 0.5871
3 O 0.1649 0.5000 0.9139
4 O 0.2293 0.0000 0.3393
5 O 0.4059 0.0000 0.2557
6 O 0.4629 0.5000 0.6235